# UZnInHg
Theoretical powder diffractogram, a wavelength of 1.5418 Å. Input: a crystal structure in Alexandria, relaxed with PBE.

Largest 6 diffraction maxima, in order of falling intensity, 15 to 90 degrees two-theta:
Position (°2θ)  I (rel.)
35.57  100
63.87  37
51.18  18
86.14  17
21.56  17
75.30  12

Cell and atoms:
```
UZnInHg
1.0
0.0000 3.5698 3.5698
3.5698 0.0000 3.5698
3.5698 3.5698 0.0000
U Zn In Hg
1 1 1 1
Cartesian
0.0000 0.0000 0.0000
5.3546 5.3546 5.3546
3.5698 3.5698 3.5698
1.7849 1.7849 1.7849
```